Diffraction record for Li11V6O5F19. The powder diffractogram is computed, not measured: it uses a structure optimized by DFT (GGA+U) and CuKα.
Lines closer than 0.1° are merged.

Main lines, sorted by position (2θ = 10–90°):
Position (°2θ)	I_rel	index
16.6	100	0 0 3
24.8	89	1 1 2
25.5	45	1 -1 1
25.9	40	-1 1 2
32.0	26	0 2 1
34.4	24	1 1 5
37.8	19	1 0 6
38.4	17	1 0 -6
39.9	20	1 2 -2
50.9	24	2 2 4

Structural model:
Cell lengths 5.026, 5.602, 16.266 Å; angles 81.03, 88.61, 87.89 degrees
Atoms (fractional coordinates):
Li  0.000  0.000  0.000
Li  0.001  0.106  0.292
Li  0.016  0.658  0.665
Li  0.381  0.461  0.999
Li  0.407  0.099  0.664
Li  0.488  0.391  0.225
Li  0.508  0.051  0.892
Li  0.518  0.648  0.557
Li  0.892  0.500  0.888
Li  0.916  0.183  0.555
Li  0.926  0.688  0.239
V  0.435  0.926  0.114
V  0.455  0.576  0.776
V  0.483  0.249  0.440
V  0.929  0.420  0.107
V  0.957  0.077  0.776
V  0.962  0.715  0.445
O  0.193  0.199  0.068
O  0.210  0.847  0.735
O  0.676  0.647  0.151
O  0.702  0.308  0.815
O  0.729  0.455  0.483
F  0.113  0.391  0.221
F  0.134  0.036  0.887
F  0.148  0.696  0.552
F  0.181  0.702  0.058
F  0.198  0.023  0.406
F  0.207  0.353  0.721
F  0.220  0.892  0.219
F  0.237  0.517  0.393
F  0.263  0.520  0.886
F  0.289  0.200  0.552
F  0.628  0.977  0.002
F  0.646  0.632  0.664
F  0.655  0.276  0.330
F  0.684  0.154  0.163
F  0.704  0.802  0.829
F  0.704  0.950  0.496
F  0.752  0.464  0.996
F  0.780  0.117  0.664
F  0.815  0.808  0.336